Structure and calculated powder diffraction line list of Tl3Cr2F7 (a cell relaxed with GGA+U; Cu Kα).
Kinematic intensities with the Lorentz-polarization factor, no thermal factor.

Top 10 peaks for 2θ from 15° to 90°, in order of rising 2θ:
- 2θ = 19.2°, 4.631 Å, I 33, hkl 1 1 0
- 2θ = 21.7°, 4.102 Å, I 44, hkl 0 0 1
- 2θ = 28.1°, 3.175 Å, I 100, hkl 1 5 0
- 2θ = 29.1°, 3.070 Å, I 83, hkl 1 1 1
- 2θ = 33.3°, 2.689 Å, I 50, hkl 0 6 1
- 2θ = 35.8°, 2.511 Å, I 100, hkl 1 5 1
- 2θ = 37.9°, 2.372 Å, I 43, hkl 2 0 0
- 2θ = 44.1°, 2.052 Å, I 43, hkl 0 0 2
- 2θ = 53.2°, 1.723 Å, I 35, hkl 1 5 2
- 2θ = 55.8°, 1.647 Å, I 34, hkl 1 11 1

Crystal structure
Cell: 4.743 21.371 4.102 Å, 90.00 90.00 90.00°
Space group Cmmm (No. 65)
Inequivalent atoms, fractional coordinates:
Tl: 0.000 0.000 0.000 [2 per cell]
Tl: 0.000 0.187 0.000 [4 per cell]
Cr: 0.000 0.403 0.500 [4 per cell]
F: 0.000 0.097 0.500 [4 per cell]
F: 0.000 0.310 0.500 [4 per cell]
F: 0.000 0.404 0.000 [4 per cell]
F: 0.000 0.500 0.500 [2 per cell]